Record 1
The following is a simulated PXRD pattern of ThAl20V2. It was derived from a DFT-relaxed cell (GGA-PBE, the Materials Project), using Cu Kα, 1.54184 Å.
Peak positions follow from Bragg's law for the DFT cell and can differ from measured ones.

Structural model:
a = 14.562 Å, b = 14.562 Å, c = 14.562 Å
α = 90.00°, β = 90.00°, γ = 90.00°
Space group Fd-3m (No. 227, origin choice 2)
Asymmetric unit:
Th  0.125  0.125  0.125
Al  0.000  0.000  0.000
Al  0.011  0.375  0.875
Al  0.059  0.059  0.326
V  0.000  0.000  0.500

Largest 10 diffraction maxima, sorted by position, 10 to 90 degrees two-theta:
(hkl)  d [Å]  I/Imax
2 2 0  5.148  85.6
3 1 1  4.390  100.0
4 2 2  2.972  42.2
4 4 0  2.574  44.9
5 3 1  2.461  94.4
6 2 0  2.302  65.9
5 3 3  2.221  73.8
6 2 2  2.195  38.1
6 6 0  1.716  43.8
10 2 0  1.428  30.9

---

Record 2
The following is a simulated PXRD pattern of Ti3Al. It was derived from a DFT-relaxed cell (GGA-PBE, the Materials Project), using Cu Kα, 1.54184 Å.
Peak positions follow from Bragg's law for the DFT cell and can differ from measured ones.

Structural model:
a = 5.7508 Å, b = 5.7508 Å, c = 4.6553 Å
α = 90.00°, β = 90.00°, γ = 120.00°
Space group P6_3/mmc (No. 194)
Asymmetric unit:
Ti  0.1697  0.3394  0.2500
Al  0.3333  0.6667  0.7500

Largest 10 diffraction maxima, sorted by position, 10 to 90 degrees two-theta:
(hkl)  d [Å]  I/Imax
1 0 1  3.401  6.4
2 0 0  2.490  24.7
0 0 2  2.328  26.8
2 0 1  2.196  100.0
2 0 2  1.700  14.0
2 2 0  1.438  15.3
2 0 3  1.317  16.7
2 2 2  1.223  17.1
4 0 1  1.203  12.1
4 0 2  1.098  3.0

---

Record 3
The following is a simulated PXRD pattern of Ti3Al. It was derived from a DFT-relaxed cell (GGA-PBE, the Materials Project), using Cu Kα, 1.54184 Å.
Peak positions follow from Bragg's law for the DFT cell and can differ from measured ones.

Structural model:
a = 6.464 Å, b = 6.464 Å, c = 6.464 Å
α = 90.00°, β = 90.00°, γ = 90.00°
Space group Fm-3m (No. 225)
Asymmetric unit:
Ti  0.000  0.000  0.000
Ti  0.250  0.250  0.250
Al  0.000  0.000  0.500

Largest 8 diffraction maxima, sorted by position, 10 to 90 degrees two-theta:
(hkl)  d [Å]  I/Imax
1 1 1  3.732  3.9
2 0 0  3.232  2.0
2 2 0  2.285  100.0
3 1 1  1.949  1.6
4 0 0  1.616  15.5
3 3 1  1.483  0.5
4 2 2  1.319  29.6
4 4 0  1.143  9.0

---

Record 4
The following is a simulated PXRD pattern of Ti3Al. It was derived from a DFT-relaxed cell (GGA-PBE, the Materials Project), using Cu Kα, 1.54184 Å.
Peak positions follow from Bragg's law for the DFT cell and can differ from measured ones.

Structural model:
a = 2.9275 Å, b = 2.9275 Å, c = 9.2264 Å
α = 90.00°, β = 90.00°, γ = 120.00°
Space group P-6m2 (No. 187)
Asymmetric unit:
Ti  0.0000  0.0000  0.0000
Ti  0.6667  0.3333  0.2494
Al  0.0000  0.0000  0.5000

Largest 10 diffraction maxima, sorted by position, 10 to 90 degrees two-theta:
(hkl)  d [Å]  I/Imax
1 0 0  2.535  26.1
1 0 1  2.445  2.5
0 0 4  2.307  24.9
1 0 2  2.222  100.0
1 0 4  1.706  14.1
1 1 0  1.464  15.7
1 0 6  1.315  16.0
1 1 4  1.236  17.0
2 0 2  1.222  12.3
2 0 4  1.111  3.1